Diffraction record for Ga2Fe5B2. The powder diffractogram is simulated, not measured: it uses a DFT-relaxed cell (GGA-PBE, Alexandria) and Cu Ka.
No peak broadening, texture or thermal motion is included.

Principal peaks in the range 2θ from 5° to 70°, most intense first:
- 43.57°, I 100
- 42.27°, I 96
- 43.45°, I 95
- 47.04°, I 66
- 46.69°, I 44
- 36.73°, I 44
- 37.52°, I 43
- 51.69°, I 33
- 53.62°, I 29
- 53.41°, I 28

Crystal structure
Unit cell a=6.976 b=6.976 c=5.451 alpha=90.00 beta=90.00 gamma=46.22
Positions (direct):
Ga: 0.228 0.228 0.000
Ga: 0.272 0.272 0.500
Ga: 0.728 0.728 0.500
Ga: 0.772 0.772 0.000
Fe: 0.000 0.000 0.000
Fe: 0.066 0.719 0.678
Fe: 0.219 0.566 0.178
Fe: 0.281 0.934 0.678
Fe: 0.434 0.781 0.178
Fe: 0.500 0.500 0.500
Fe: 0.566 0.219 0.822
Fe: 0.719 0.066 0.322
Fe: 0.781 0.434 0.822
Fe: 0.934 0.281 0.322
B: 0.117 0.883 0.384
B: 0.383 0.617 0.884
B: 0.617 0.383 0.116
B: 0.883 0.117 0.616

***

Diffraction record for GaFe6B2. The powder diffractogram is simulated, not measured: it uses a DFT-relaxed cell (GGA-PBE, Alexandria) and Cu Ka.
No peak broadening, texture or thermal motion is included.

Principal peaks in the range 2θ from 5° to 70°, most intense first:
- 43.97°, I 100
- 47.19°, I 32
- 42.39°, I 25
- 37.08°, I 17
- 46.93°, I 17
- 46.19°, I 16
- 48.71°, I 14
- 54.71°, I 13
- 40.05°, I 13
- 51.81°, I 13

Crystal structure
Unit cell a=6.222 b=6.222 c=6.222 alpha=114.72 beta=110.89 gamma=103.02
Positions (direct):
Ga: 0.000 0.000 0.000
Ga: 0.500 0.500 0.000
Fe: 0.029 0.246 0.783
Fe: 0.194 0.293 0.487
Fe: 0.194 0.707 0.901
Fe: 0.320 0.018 0.698
Fe: 0.320 0.622 0.302
Fe: 0.464 0.246 0.217
Fe: 0.536 0.754 0.783
Fe: 0.680 0.378 0.698
Fe: 0.680 0.982 0.302
Fe: 0.806 0.293 0.099
Fe: 0.806 0.707 0.513
Fe: 0.971 0.754 0.217
B: 0.116 0.616 0.500
B: 0.363 0.000 0.363
B: 0.637 0.000 0.637
B: 0.884 0.384 0.500

***

Diffraction record for Gd5Fe2B6. The powder diffractogram is simulated, not measured: it uses a DFT-relaxed cell (GGA-PBE, Alexandria) and Cu Ka.
No peak broadening, texture or thermal motion is included.

Principal peaks in the range 2θ from 5° to 70°, most intense first:
- 33.05°, I 100
- 40.56°, I 41
- 59.00°, I 34
- 32.94°, I 33
- 58.38°, I 23
- 26.93°, I 22
- 22.85°, I 22
- 36.24°, I 18
- 47.35°, I 12
- 69.34°, I 12

Crystal structure
Unit cell a=8.390 b=8.390 c=8.390 alpha=37.70 beta=37.70 gamma=37.70
Positions (direct):
Gd: 0.000 0.000 0.000
Gd: 0.251 0.251 0.251
Gd: 0.417 0.417 0.417
Gd: 0.583 0.583 0.583
Gd: 0.749 0.749 0.749
Fe: 0.118 0.118 0.118
Fe: 0.882 0.882 0.882
B: 0.168 0.500 0.832
B: 0.168 0.832 0.500
B: 0.500 0.168 0.832
B: 0.500 0.832 0.168
B: 0.832 0.168 0.500
B: 0.832 0.500 0.168

***

Question: Which formula does entry 1 have?
Answer: Ga2Fe5B2